# 1
# Nb2Hg2PdSe6
Theoretical X-ray diffraction stick pattern, Cu Kα. Input: a PBE-relaxed structure.

Structure:
Cell lengths 6.1448, 6.1448, 9.0763 Å; angles 99.39, 99.39, 117.87 degrees
Element x y z (fractional)
Nb: 0.1972 0.8028 0.0000
Nb: 0.8028 0.1972 0.0000
Hg: 0.3322 0.6678 0.5000
Hg: 0.6678 0.3322 0.5000
Pd: 0.5000 0.5000 0.0000
Se: 0.0635 0.3876 0.8031
Se: 0.2324 0.2324 0.1570
Se: 0.3876 0.0635 0.8031
Se: 0.6124 0.9365 0.1969
Se: 0.7676 0.7676 0.8430
Se: 0.9365 0.6124 0.1969

Main lines, low angle first (2θ = 10–80°):
two_theta	intensity
17.0	158
20.6	191
30.4	576
31.2	180
32.8	1000
33.3	199
39.7	304
41.7	224
50.5	266
52.1	148

---

# 2
# CeCuAsSe
Theoretical X-ray diffraction stick pattern, Cu Kα. Input: a PBE-relaxed structure.

Structure:
Cell lengths 4.1773, 4.1773, 9.2290 Å; angles 90.00, 90.00, 90.00 degrees
Element x y z (fractional)
Ce: 0.2500 0.2500 0.2313
Ce: 0.7500 0.7500 0.7687
Cu: 0.2500 0.7500 0.5000
Cu: 0.7500 0.2500 0.5000
As: 0.2500 0.2500 0.6568
As: 0.7500 0.7500 0.3432
Se: 0.2500 0.7500 0.0000
Se: 0.7500 0.2500 0.0000

Main lines, low angle first (2θ = 10–80°):
two_theta	intensity
23.4	167
28.8	199
36.1	1000
36.3	210
43.3	402
54.3	113
57.7	108
59.7	109
62.9	129
74.8	253

---

# 3
# Ba2Tl12Pb7
Theoretical X-ray diffraction stick pattern, Cu Kα. Input: a PBE-relaxed structure.

Structure:
Cell lengths 14.5749, 14.5749, 3.7568 Å; angles 90.00, 90.00, 120.00 degrees
Element x y z (fractional)
Ba: 0.3333 0.6667 0.2490
Ba: 0.6667 0.3333 0.7510
Tl: 0.0783 0.4580 0.7479
Tl: 0.0816 0.2466 0.2652
Tl: 0.1650 0.9184 0.2652
Tl: 0.2466 0.1650 0.7348
Tl: 0.3797 0.9217 0.7479
Tl: 0.4580 0.3797 0.2521
Tl: 0.5420 0.6203 0.7479
Tl: 0.6203 0.0783 0.2521
Tl: 0.7534 0.8350 0.2652
Tl: 0.8350 0.0816 0.7348
Tl: 0.9184 0.7534 0.7348
Tl: 0.9217 0.5420 0.2521
Pb: 0.0000 0.0000 0.0000
Pb: 0.1294 0.7106 0.7479
Pb: 0.2894 0.4188 0.7479
Pb: 0.4188 0.1294 0.2521
Pb: 0.5812 0.8706 0.7479
Pb: 0.7106 0.5812 0.2521
Pb: 0.8706 0.2894 0.2521

Main lines, low angle first (2θ = 10–80°):
two_theta	intensity
30.3	963
31.9	117
32.5	1000
35.0	216
37.2	119
45.0	215
48.5	110
56.6	289
58.0	128
59.6	299

---

# 4
# RbPa2FeS8
Theoretical X-ray diffraction stick pattern, Cu Kα. Input: a PBE-relaxed structure.

Structure:
Cell lengths 5.8928, 5.8928, 9.5194 Å; angles 90.00, 90.00, 120.00 degrees
Element x y z (fractional)
Rb: 0.0000 0.0000 0.0000
Pa: 0.3333 0.6667 0.3841
Pa: 0.6667 0.3333 0.6159
Fe: 0.0000 0.0000 0.5000
S: 0.1734 0.3467 0.6442
S: 0.1734 0.8266 0.6442
S: 0.3333 0.6667 0.1296
S: 0.3467 0.1734 0.3558
S: 0.6533 0.8266 0.6442
S: 0.6667 0.3333 0.8704
S: 0.8266 0.1734 0.3558
S: 0.8266 0.6533 0.3558

Main lines, low angle first (2θ = 10–80°):
two_theta	intensity
19.7	1000
25.6	516
30.3	733
33.2	362
36.5	612
40.1	514
41.9	327
45.6	277
48.1	214
52.6	200

---

# 5
# NpH11Rh5
Theoretical X-ray diffraction stick pattern, Cu Kα. Input: a PBE-relaxed structure.

Structure:
Cell lengths 5.4682, 5.4682, 5.1298 Å; angles 102.02, 102.02, 95.29 degrees
Element x y z (fractional)
Np: 0.0000 0.0000 0.0000
H: 0.0000 0.0000 0.5000
H: 0.1588 0.6707 0.6461
H: 0.1990 0.4598 0.0916
H: 0.3139 0.3139 0.6768
H: 0.3293 0.8412 0.3539
H: 0.4598 0.1990 0.0916
H: 0.5402 0.8010 0.9084
H: 0.6707 0.1588 0.6461
H: 0.6861 0.6861 0.3232
H: 0.8010 0.5402 0.9084
H: 0.8412 0.3293 0.3539
Rh: 0.0140 0.6409 0.2855
Rh: 0.3591 0.9860 0.7145
Rh: 0.5000 0.5000 0.0000
Rh: 0.6409 0.0140 0.2855
Rh: 0.9860 0.3591 0.7145

Main lines, low angle first (2θ = 10–80°):
two_theta	intensity
16.7	784
18.2	481
28.7	914
33.9	914
34.6	1000
35.9	817
37.9	647
38.4	654
43.3	674
51.8	385

---

# 6
# AlAs3S5Cl4
Theoretical X-ray diffraction stick pattern, Cu Kα. Input: a PBE-relaxed structure.

Structure:
Cell lengths 6.9553, 10.0063, 12.1967 Å; angles 90.00, 106.17, 90.00 degrees
Element x y z (fractional)
Al: 0.2294 0.2500 0.2044
Al: 0.7706 0.7500 0.7956
As: 0.0771 0.2500 0.5359
As: 0.3042 0.0799 0.8125
As: 0.3042 0.4201 0.8125
As: 0.6958 0.5799 0.1875
As: 0.6958 0.9201 0.1875
As: 0.9229 0.7500 0.4641
S: 0.0443 0.2500 0.8058
S: 0.1452 0.7500 0.3515
S: 0.2503 0.0676 0.6213
S: 0.2503 0.4324 0.6213
S: 0.4750 0.7500 0.1255
S: 0.5250 0.2500 0.8745
S: 0.7497 0.5676 0.3787
S: 0.7497 0.9324 0.3787
S: 0.8548 0.2500 0.6485
S: 0.9557 0.7500 0.1942
Cl: 0.0780 0.7500 0.7919
Cl: 0.2791 0.0729 0.1124
Cl: 0.2791 0.4271 0.1124
Cl: 0.4273 0.2500 0.3749
Cl: 0.5727 0.7500 0.6251
Cl: 0.7209 0.5729 0.8876
Cl: 0.7209 0.9271 0.8876
Cl: 0.9220 0.2500 0.2081

Main lines, low angle first (2θ = 10–80°):
two_theta	intensity
11.6	436
13.3	943
16.0	1000
19.3	459
22.8	415
28.3	319
29.7	461
29.9	431
32.2	410
47.5	315

---

# 7
# KBiPbF6
Theoretical X-ray diffraction stick pattern, Cu Kα. Input: a PBE-relaxed structure.

Structure:
Cell lengths 6.5460, 6.5460, 10.1130 Å; angles 90.00, 90.00, 120.00 degrees
Element x y z (fractional)
K: 0.0000 0.0000 0.0000
K: 0.0000 0.0000 0.5000
Bi: 0.3333 0.6667 0.2500
Bi: 0.6667 0.3333 0.7500
Pb: 0.3333 0.6667 0.7500
Pb: 0.6667 0.3333 0.2500
F: 0.0226 0.3724 0.1353
F: 0.0226 0.6502 0.3647
F: 0.3498 0.3724 0.3647
F: 0.3498 0.9774 0.1353
F: 0.3724 0.0226 0.6353
F: 0.3724 0.3498 0.8647
F: 0.6276 0.6502 0.1353
F: 0.6276 0.9774 0.3647
F: 0.6502 0.0226 0.8647
F: 0.6502 0.6276 0.6353
F: 0.9774 0.3498 0.6353
F: 0.9774 0.6276 0.8647

Main lines, low angle first (2θ = 10–80°):
two_theta	intensity
15.6	607
17.5	764
23.6	984
27.2	859
32.6	1000
36.3	313
45.3	727
46.0	333
48.2	445
51.6	297

---

# 8
# Mg2TaCl
Theoretical X-ray diffraction stick pattern, Cu Kα. Input: a PBE-relaxed structure.

Structure:
Cell lengths 8.9239, 8.9239, 8.9239 Å; angles 20.60, 20.60, 20.60 degrees
Element x y z (fractional)
Mg: 0.2445 0.2445 0.2445
Mg: 0.7555 0.7555 0.7555
Ta: 0.0000 0.0000 0.0000
Cl: 0.5000 0.5000 0.5000

Main lines, low angle first (2θ = 10–80°):
two_theta	intensity
10.1	1000
20.3	338
32.6	241
33.1	294
35.2	662
36.8	195
41.4	136
42.8	377
57.8	156
73.5	146

---

# 9
# Ac3Zn2Sn4
Theoretical X-ray diffraction stick pattern, Cu Kα. Input: a PBE-relaxed structure.

Structure:
Cell lengths 6.6431, 6.6431, 9.5820 Å; angles 108.07, 108.07, 41.73 degrees
Element x y z (fractional)
Ac: 0.0000 0.0000 0.0000
Ac: 0.3753 0.3753 0.3152
Ac: 0.6247 0.6247 0.6848
Zn: 0.3078 0.3078 0.6508
Zn: 0.6922 0.6922 0.3492
Sn: 0.0971 0.0971 0.3930
Sn: 0.2876 0.2876 0.9326
Sn: 0.7124 0.7124 0.0674
Sn: 0.9029 0.9029 0.6070

Main lines, low angle first (2θ = 10–80°):
two_theta	intensity
21.4	237
28.5	182
28.8	812
29.7	1000
30.1	714
35.2	183
36.4	527
38.0	426
49.0	227
55.4	207

---

# 10
# Rb2Nb4Se7
Theoretical X-ray diffraction stick pattern, Cu Kα. Input: a PBE-relaxed structure.

Structure:
Cell lengths 6.3910, 6.3910, 9.2855 Å; angles 90.00, 90.00, 120.00 degrees
Element x y z (fractional)
Rb: 0.3333 0.6667 0.0000
Rb: 0.6667 0.3333 0.0000
Nb: 0.0000 0.0000 0.3604
Nb: 0.0000 0.0000 0.6396
Nb: 0.3333 0.6667 0.5000
Nb: 0.6667 0.3333 0.5000
Se: 0.0000 0.0000 0.0000
Se: 0.0000 0.3865 0.3064
Se: 0.0000 0.6135 0.6936
Se: 0.3865 0.0000 0.3064
Se: 0.3865 0.3865 0.6936
Se: 0.6135 0.0000 0.6936
Se: 0.6135 0.6135 0.3064

Main lines, low angle first (2θ = 10–80°):
two_theta	intensity
27.9	384
28.8	281
29.6	447
32.3	128
34.1	1000
37.8	165
43.9	238
48.5	173
49.4	411
58.2	143

---

# 11
# Ho2PdAu6
Theoretical X-ray diffraction stick pattern, Cu Kα. Input: a PBE-relaxed structure.

Structure:
Cell lengths 7.0330, 7.0330, 7.0815 Å; angles 111.86, 111.86, 32.97 degrees
Element x y z (fractional)
Ho: 0.0612 0.0612 0.3180
Ho: 0.9388 0.9388 0.6820
Pd: 0.5000 0.5000 0.0000
Au: 0.1639 0.1639 0.0022
Au: 0.2731 0.2731 0.6745
Au: 0.3951 0.3951 0.3284
Au: 0.6049 0.6049 0.6716
Au: 0.7269 0.7269 0.3255
Au: 0.8361 0.8361 0.9978

Main lines, low angle first (2θ = 10–80°):
two_theta	intensity
35.6	1000
37.4	903
40.2	356
41.5	342
45.4	264
62.3	199
63.2	199
69.0	128
70.8	127
72.4	127

---

# 12
# PrGa5Ni2Ir
Theoretical X-ray diffraction stick pattern, Cu Kα. Input: a PBE-relaxed structure.

Structure:
Cell lengths 4.6605, 4.6605, 7.1168 Å; angles 90.00, 90.00, 90.00 degrees
Element x y z (fractional)
Pr: 0.0000 0.0000 0.0000
Ga: 0.0000 0.5000 0.3117
Ga: 0.0000 0.5000 0.6883
Ga: 0.5000 0.0000 0.3117
Ga: 0.5000 0.0000 0.6883
Ga: 0.5000 0.5000 0.0000
Ni: 0.5000 0.5000 0.3207
Ni: 0.5000 0.5000 0.6793
Ir: 0.0000 0.0000 0.5000

Main lines, low angle first (2θ = 10–80°):
two_theta	intensity
12.4	221
27.1	216
31.6	576
37.2	917
38.6	1000
50.8	306
55.3	259
55.8	336
59.0	217
69.0	299